No. 1
Sr7Ca2Al3O12F3: computed powder XRD pattern (a wavelength of 1.5418 Å), based on a DFT-relaxed cell (PBE, the Materials Project).
Neutral-atom scattering factors, no anomalous dispersion.

Atomic structure:
a b c (Å): 6.744 7.309 17.496
angles (deg): 82.16 89.23 63.04
Space group P1 (No. 1)
Asymmetric unit:
Sr 0.000 0.000 0.000
Sr 0.000 0.000 0.499
Sr 0.107 0.443 0.028
Sr 0.223 0.886 0.806
Sr 0.332 0.332 0.332
Sr 0.334 0.333 0.832
Sr 0.441 0.778 0.360
Sr 0.442 0.442 0.528
Sr 0.558 0.219 0.140
Sr 0.666 0.665 0.166
Sr 0.667 0.667 0.666
Sr 0.775 0.111 0.694
Sr 0.775 0.775 0.862
Sr 0.889 0.553 0.472
Ca 0.112 0.111 0.193
Ca 0.217 0.216 0.641
Ca 0.550 0.549 0.974
Ca 0.885 0.885 0.306
Al 0.165 0.665 0.166
Al 0.166 0.665 0.666
Al 0.497 0.999 0.001
Al 0.499 0.999 0.499
Al 0.833 0.332 0.833
Al 0.835 0.332 0.332
O 0.000 0.291 0.749
O 0.001 0.707 0.749
O 0.044 0.621 0.586
O 0.090 0.099 0.344
O 0.138 0.428 0.180
O 0.194 0.902 0.652
O 0.240 0.228 0.487
O 0.283 0.710 0.248
O 0.330 0.041 0.084
O 0.333 0.623 0.083
O 0.376 0.954 0.920
O 0.421 0.432 0.680
O 0.472 0.765 0.513
O 0.527 0.234 0.986
O 0.573 0.562 0.821
O 0.618 0.040 0.582
O 0.666 0.958 0.416
O 0.670 0.372 0.415
O 0.716 0.286 0.251
O 0.753 0.766 0.014
O 0.805 0.099 0.847
O 0.861 0.569 0.318
O 0.910 0.898 0.155
O 0.951 0.373 0.916
F 0.160 0.670 0.414
F 0.173 0.662 0.918
F 0.493 0.003 0.748
F 0.499 0.999 0.250
F 0.832 0.332 0.083
F 0.840 0.329 0.584

The 10 most intense peaks (2θ from 5° to 70°), by angle:
two_theta, I_rel, index
24.70, 229, 1 2 0
30.51, 238, 2 1 3
30.99, 1000, 2 2 2
32.12, 347, 0 2 4
38.28, 451, 2 2 5
38.61, 363, 2 3 1
42.14, 299, 3 1 2
42.63, 224, 3 2 -2
56.56, 180, 2 4 6
57.11, 182, 4 3 2


No. 2
CaAlGa: computed powder XRD pattern (a wavelength of 1.5418 Å), based on a DFT-relaxed cell (PBE, the Materials Project).
Neutral-atom scattering factors, no anomalous dispersion.

Atomic structure:
a b c (Å): 10.640 4.560 7.404
angles (deg): 90.00 132.44 90.00
Space group C2/m (No. 12)
Asymmetric unit:
Ca 0.046 0.000 0.299
Al 0.162 0.500 0.096
Ga 0.160 0.500 0.718

The 10 most intense peaks (2θ from 5° to 70°), by angle:
two_theta, I_rel, index
16.69, 470, 2 0 -1
22.91, 428, 1 1 -1
32.18, 583, 1 1 1
32.76, 560, 0 0 2
32.96, 283, 1 1 -2
33.45, 1000, 3 1 -2
38.56, 310, 4 0 -3
39.53, 582, 0 2 0
39.71, 910, 3 1 0
64.85, 218, 7 1 -3


No. 3
CaAl2Ga2: computed powder XRD pattern (a wavelength of 1.5418 Å), based on a DFT-relaxed cell (PBE, the Materials Project).
Neutral-atom scattering factors, no anomalous dispersion.

Atomic structure:
a b c (Å): 4.287 4.287 11.039
angles (deg): 90.00 90.00 90.00
Space group I4/mmm (No. 139)
Asymmetric unit:
Ca 0.000 0.000 0.000
Al 0.000 0.500 0.250
Ga 0.000 0.000 0.387

The 10 most intense peaks (2θ from 5° to 70°), by angle:
two_theta, I_rel, index
22.24, 800, 1 0 1
29.46, 786, 1 1 0
32.05, 1000, 1 0 3
33.73, 849, 1 1 2
42.15, 943, 2 0 0
44.39, 646, 1 1 4
46.25, 758, 1 0 5
53.92, 427, 2 1 3
61.14, 300, 2 2 0
64.35, 537, 2 1 5


No. 4
CaGdAlO4: computed powder XRD pattern (a wavelength of 1.5418 Å), based on a DFT-relaxed cell (PBE, the Materials Project).
Neutral-atom scattering factors, no anomalous dispersion.

Atomic structure:
a b c (Å): 3.695 3.695 11.967
angles (deg): 90.00 90.00 90.00
Space group I4mm (No. 107)
Asymmetric unit:
Ca 0.000 0.000 0.000
Gd 0.000 0.000 0.715
Al 0.000 0.000 0.363
O 0.000 0.000 0.190
O 0.000 0.000 0.526
O 0.000 0.500 0.353

The 10 most intense peaks (2θ from 5° to 70°), by angle:
two_theta, I_rel, index
14.81, 627, 0 0 2
25.23, 874, 1 0 1
33.05, 1000, 1 0 3
34.32, 717, 1 1 0
37.56, 350, 1 1 2
45.13, 254, 1 0 5
46.13, 512, 1 1 4
49.33, 403, 2 0 0
56.19, 208, 2 1 1
60.66, 367, 2 1 3


No. 5
Ca3Al2Ge2: computed powder XRD pattern (a wavelength of 1.5418 Å), based on a DFT-relaxed cell (PBE, the Materials Project).
Neutral-atom scattering factors, no anomalous dispersion.

Atomic structure:
a b c (Å): 4.127 4.564 18.665
angles (deg): 90.00 90.00 90.00
Space group Immm (No. 71)
Asymmetric unit:
Ca 0.000 0.000 0.000
Ca 0.000 0.500 0.314
Al 0.000 0.000 0.432
Ge 0.000 0.500 0.146

The 10 most intense peaks (2θ from 5° to 70°), by angle:
two_theta, I_rel, index
28.70, 274, 0 0 6
29.17, 353, 1 1 0
30.74, 1000, 1 1 2
30.95, 439, 0 1 5
35.06, 637, 1 1 4
39.49, 437, 0 2 0
40.27, 553, 1 0 7
41.38, 425, 1 1 6
43.88, 319, 2 0 0
57.67, 369, 1 2 7


No. 6
CaLaMgAl2Si3HO13: computed powder XRD pattern (a wavelength of 1.5418 Å), based on a DFT-relaxed cell (PBE, the Materials Project).
Neutral-atom scattering factors, no anomalous dispersion.

Atomic structure:
a b c (Å): 8.992 5.743 10.171
angles (deg): 90.00 114.41 90.00
Space group P2_1/m (No. 11)
Asymmetric unit:
Ca 0.238 0.250 0.348
La 0.406 0.250 0.072
Mg 0.296 0.250 0.709
Al 0.000 0.000 0.000
Al 0.000 0.000 0.500
Si 0.185 0.750 0.820
Si 0.314 0.750 0.218
Si 0.337 0.750 0.539
H 0.059 0.250 0.818
O 0.045 0.750 0.649
O 0.050 0.250 0.625
O 0.067 0.750 0.910
O 0.081 0.250 0.923
O 0.204 0.511 0.159
O 0.235 0.508 0.533
O 0.309 0.525 0.859
O 0.381 0.750 0.396
O 0.462 0.750 0.168
O 0.490 0.250 0.322

The 10 most intense peaks (2θ from 5° to 70°), by angle:
two_theta, I_rel, index
9.55, 641, 0 0 1
17.16, 303, 1 0 1
25.16, 569, 2 1 -1
27.21, 391, 2 0 1
30.37, 281, 3 0 -2
30.64, 1000, 1 1 -3
31.15, 432, 0 2 0
32.94, 350, 0 1 3
33.06, 324, 1 2 0
33.96, 500, 3 1 -1


> Which formula does entry 5 have?

Ca3Al2Ge2